1.
Na6V2O7: calculated PXRD pattern (Cu Kα (λ = 1.5418 Å)), based on a DFT-relaxed cell (GGA+U, the Materials Project).
Kinematic intensities with the Lorentz-polarization factor, no thermal factor.

Crystal structure
```
30
Lattice="6.014 0.000 0.000 0.000 8.446 0.000 -5.707 0.000 8.989" Properties=species:S:1:pos:R:3 pbc="T T T"
Na 0.000 0.341 0.000
Na -2.854 8.106 4.494
Na -1.498 3.837 4.060
Na -4.352 4.609 8.555
Na -2.052 1.905 6.903
Na 0.801 6.541 2.409
Na 1.612 3.510 2.520
Na -1.242 4.937 7.014
Na 3.107 0.701 1.631
Na 0.254 7.745 6.126
Na 0.945 2.358 6.210
Na 3.798 6.088 1.715
V -0.254 0.911 3.386
V -3.108 7.535 7.880
V 4.837 3.403 0.836
V 1.983 5.044 5.330
O -1.095 2.167 2.241
O -3.949 6.280 6.735
O -3.936 0.541 7.108
O -1.083 7.906 2.614
O -3.010 3.717 5.949
O -0.157 4.730 1.455
O -0.870 1.113 5.043
O 1.984 7.333 0.549
O 3.081 3.787 0.726
O 0.228 4.659 5.220
O 1.515 0.901 3.213
O -1.339 7.546 7.707
O -0.281 2.901 8.176
O 2.573 5.545 3.682
```

The 12 most intense peaks (2θ from 10° to 90°), sorted by position:
- hkl 1 0 -2, 2θ 18.1, I 1000
- hkl 1 1 0, 2θ 20.4, I 383
- hkl 0 1 2, 2θ 22.4, I 542
- hkl 0 2 1, 2θ 23.3, I 434
- hkl 2 1 -2, 2θ 31.6, I 362
- hkl 1 0 2, 2θ 32.9, I 489
- hkl 0 3 1, 2θ 33.3, I 425
- hkl 1 1 -4, 2θ 35.6, I 829
- hkl 1 3 0, 2θ 36.5, I 307
- hkl 2 2 -1, 2θ 37.8, I 603
- hkl 1 3 1, 2θ 40.4, I 739
- hkl 0 2 5, 2θ 55.6, I 310

2.
NaV2O5: calculated PXRD pattern (Cu Kα (λ = 1.5418 Å)), based on a DFT-relaxed cell (GGA+U, the Materials Project).
Kinematic intensities with the Lorentz-polarization factor, no thermal factor.

Crystal structure
```
16
Lattice="3.652 0.000 0.000 0.000 5.101 0.000 0.000 0.000 11.467" Properties=species:S:1:pos:R:3 pbc="T T T"
Na 0.000 0.685 0.000
Na 1.826 4.416 5.734
V 0.000 1.991 7.334
V 0.000 2.058 3.870
V 1.826 3.043 9.603
V 1.826 3.110 1.600
O 0.000 0.351 7.080
O 0.000 0.434 4.078
O 0.000 2.448 1.912
O 0.000 2.506 9.280
O 0.000 2.729 5.519
O 1.826 2.372 11.253
O 1.826 2.595 3.547
O 1.826 2.653 7.645
O 1.826 4.667 9.812
O 1.826 4.750 1.346
```

The 12 most intense peaks (2θ from 10° to 90°), sorted by position:
- hkl 0 1 0, 2θ 17.4, I 1000
- hkl 0 1 2, 2θ 23.3, I 264
- hkl 1 0 1, 2θ 25.6, I 380
- hkl 0 1 3, 2θ 29.2, I 579
- hkl 1 1 0, 2θ 30.1, I 596
- hkl 0 0 4, 2θ 31.2, I 439
- hkl 1 0 3, 2θ 34.0, I 461
- hkl 0 2 0, 2θ 35.2, I 179
- hkl 0 0 6, 2θ 47.6, I 206
- hkl 2 0 0, 2θ 50.0, I 295
- hkl 1 2 4, 2θ 54.3, I 157
- hkl 1 3 0, 2θ 60.0, I 188